Entry 1:
The following is a theoretical PXRD pattern of SnO. It was derived from a DFT-relaxed cell (GGA-PBE, the Materials Project), using copper Kα.
Kinematic intensities with the Lorentz-polarization factor, no thermal factor.

Peak list (6 most intense, 5 to 70 degrees two-theta, by angle)
d 3.367, rel. 26, hkl 1 1 1
d 3.039, rel. 100, hkl 0 0 4
d 2.713, rel. 13, hkl 0 2 1
d 2.255, rel. 18, hkl 2 0 0
d 1.812, rel. 14, hkl 2 0 4
d 1.756, rel. 19, hkl 1 1 6

Structure:
```
SnO
1.0
4.5090 0.0000 0.0000
0.0000 5.5657 0.0000
0.0000 0.0000 12.1736
Sn O
8 8
direct
0.0000 0.0278 0.0000
0.0000 0.3764 0.7709
0.0000 0.6236 0.2709
0.0000 0.9722 0.5000
0.5000 0.1236 0.2709
0.5000 0.4722 0.5000
0.5000 0.5278 0.0000
0.5000 0.8764 0.7709
0.0000 0.0047 0.3217
0.0000 0.4073 0.9496
0.0000 0.5927 0.4496
0.0000 0.9953 0.8217
0.5000 0.0927 0.4496
0.5000 0.4953 0.8217
0.5000 0.5047 0.3217
0.5000 0.9073 0.9496
```

Entry 2:
The following is a theoretical PXRD pattern of SnO. It was derived from a DFT-relaxed cell (GGA-PBE, the Materials Project), using copper Kα.
Kinematic intensities with the Lorentz-polarization factor, no thermal factor.

Peak list (6 most intense, 5 to 70 degrees two-theta, by angle)
d 3.086, rel. 100, hkl 1 1 2
d 2.737, rel. 27, hkl 2 0 0
d 1.936, rel. 17, hkl 2 2 0
d 1.868, rel. 29, hkl 2 0 4
d 1.640, rel. 32, hkl 3 1 2
d 1.559, rel. 12, hkl 1 1 6

Structure:
```
SnO
1.0
5.4738 0.0000 0.0000
0.0000 5.4756 0.0000
0.0000 0.0000 10.2220
Sn O
8 8
direct
0.0000 0.2365 0.1361
0.0000 0.2635 0.6361
0.0000 0.7365 0.3639
0.0000 0.7635 0.8639
0.5000 0.2365 0.3639
0.5000 0.2635 0.8639
0.5000 0.7365 0.1361
0.5000 0.7635 0.6361
0.2500 0.0119 0.7500
0.2500 0.4881 0.2500
0.2500 0.5119 0.7500
0.2500 0.9881 0.2500
0.7500 0.0119 0.7500
0.7500 0.4881 0.2500
0.7500 0.5119 0.7500
0.7500 0.9881 0.2500
```